# 1
The following is a calculated XRD peak list of Cr5NiAs3. It was derived from a PBE-relaxed structure, using Cu Kα, 1.54184 Å.
Intensities are scaled so that the largest is 100.

The 10 most intense peaks (10 to 80 degrees two-theta), in order of falling intensity:
(1 2 2), 2θ = 41.4°, I = 100.0
(1 3 1), 2θ = 37.6°, I = 71.9
(1 4 0), 2θ = 41.0°, I = 50.6
(1 0 2), 2θ = 37.9°, I = 48.8
(2 0 0), 2θ = 50.3°, I = 46.2
(0 3 3), 2θ = 50.2°, I = 39.8
(1 5 1), 2θ = 50.4°, I = 24.7
(2 3 3), 2θ = 73.8°, I = 23.8
(1 1 3), 2θ = 51.1°, I = 23.1
(0 4 2), 2θ = 43.6°, I = 22.7

Crystal structure
Lattice parameters (Å, degrees): 3.6296 11.0721 6.2688 90.00 90.00 90.00
Space group Amm2 (No. 38)
Symmetry-distinct sites (fractional):
Cr 0.0000 0.0000 0.0000 [2 per cell]
Cr 0.0000 0.2080 0.4009 [4 per cell]
Cr 0.5000 0.1230 0.7257 [4 per cell]
Ni 0.5000 0.0000 0.3431 [2 per cell]
As 0.0000 0.0000 0.5839 [2 per cell]
As 0.5000 0.1658 0.1057 [4 per cell]

=====

# 2
The following is a calculated XRD peak list of CrNiAs. It was derived from a PBE-relaxed structure, using Cu Kα, 1.54184 Å.
Intensities are scaled so that the largest is 100.

The 10 most intense peaks (10 to 80 degrees two-theta), in order of falling intensity:
(2 1 2), 2θ = 41.9°, I = 100.0
(1 1 -3), 2θ = 38.1°, I = 86.6
(0 2 0), 2θ = 49.7°, I = 61.9
(1 1 3), 2θ = 38.2°, I = 46.3
(0 0 6), 2θ = 51.4°, I = 42.5
(2 1 -2), 2θ = 41.7°, I = 42.4
(3 1 -1), 2θ = 51.5°, I = 28.7
(2 1 1), 2θ = 39.0°, I = 22.0
(2 1 4), 2θ = 51.8°, I = 21.9
(3 0 -3), 2θ = 51.1°, I = 21.2

Crystal structure
Lattice parameters (Å, degrees): 6.1844 3.6674 10.6683 90.00 90.35 90.00
Space group P2_1/m (No. 11)
Symmetry-distinct sites (fractional):
Cr 0.0365 0.2500 0.2124 [2 per cell]
Cr 0.3488 0.7500 0.5810 [2 per cell]
Cr 0.4618 0.7500 0.8834 [2 per cell]
Ni 0.0025 0.2500 0.5894 [2 per cell]
Ni 0.1387 0.2500 0.9588 [2 per cell]
Ni 0.3703 0.7500 0.2932 [2 per cell]
As 0.2480 0.7500 0.0847 [2 per cell]
As 0.2491 0.2500 0.4184 [2 per cell]
As 0.2593 0.2500 0.7506 [2 per cell]